1.
The following is a computed X-ray powder pattern of Sr3Zn2Ga4. It was derived from DFT lattice parameters and positions (GGA-PBE), using Cu Kα (λ = 1.5418 Å).
Lines closer than 0.1° are merged.

Largest 8 diffraction maxima, by angle, 5 to 70 degrees two-theta:
- 2θ = 19.94°, rel. 6
- 2θ = 30.58°, rel. 100
- 2θ = 40.29°, rel. 50
- 2θ = 40.53°, rel. 16
- 2θ = 51.41°, rel. 23
- 2θ = 58.48°, rel. 32
- 2θ = 67.27°, rel. 20
- 2θ = 67.60°, rel. 9

Structural model:
```
data_Sr3Zn2Ga4
_cell_length_a 4.477
_cell_length_b 4.477
_cell_length_c 26.710
_cell_angle_alpha 90.00
_cell_angle_beta 90.00
_cell_angle_gamma 120.00
_symmetry_space_group_name_H-M 'P 1'
_symmetry_Int_Tables_number 1
loop_
_symmetry_equiv_pos_as_xyz
'x,y,z'
loop_
_atom_site_label
_atom_site_type_symbol
_atom_site_fract_x
_atom_site_fract_y
_atom_site_fract_z
_atom_site_occupancy
Sr1 Sr 0.000 0.000 0.000 1
Sr2 Sr 0.000 0.000 0.162 1
Sr3 Sr 0.000 0.000 0.331 1
Sr4 Sr 0.000 0.000 0.498 1
Sr5 Sr 0.000 0.000 0.667 1
Sr6 Sr 0.000 0.000 0.828 1
Zn1 Zn 0.333 0.667 0.414 1
Zn2 Zn 0.667 0.333 0.081 1
Zn3 Zn 0.667 0.333 0.415 1
Zn4 Zn 0.667 0.333 0.748 1
Ga1 Ga 0.333 0.667 0.082 1
Ga2 Ga 0.333 0.667 0.245 1
Ga3 Ga 0.333 0.667 0.584 1
Ga4 Ga 0.333 0.667 0.746 1
Ga5 Ga 0.333 0.667 0.914 1
Ga6 Ga 0.667 0.333 0.251 1
Ga7 Ga 0.667 0.333 0.578 1
Ga8 Ga 0.667 0.333 0.914 1
```

2.
The following is a computed X-ray powder pattern of Ta3Ga4. It was derived from DFT lattice parameters and positions (GGA-PBE), using Cu Kα (λ = 1.5418 Å).
Lines closer than 0.1° are merged.

Largest 8 diffraction maxima, by angle, 5 to 70 degrees two-theta:
- 2θ = 8.47°, rel. 15
- 2θ = 16.98°, rel. 18
- 2θ = 29.27°, rel. 19
- 2θ = 37.47°, rel. 63
- 2θ = 40.24°, rel. 100
- 2θ = 41.40°, rel. 8
- 2θ = 54.03°, rel. 22
- 2θ = 69.47°, rel. 40

Structural model:
```
data_Ta3Ga4
_cell_length_a 3.394
_cell_length_b 3.394
_cell_length_c 20.891
_cell_angle_alpha 90.00
_cell_angle_beta 90.00
_cell_angle_gamma 90.00
_symmetry_space_group_name_H-M 'P 1'
_symmetry_Int_Tables_number 1
loop_
_symmetry_equiv_pos_as_xyz
'x,y,z'
loop_
_atom_site_label
_atom_site_type_symbol
_atom_site_fract_x
_atom_site_fract_y
_atom_site_fract_z
_atom_site_occupancy
Ta1 Ta 0.000 0.000 0.000 1
Ta2 Ta 0.000 0.000 0.282 1
Ta3 Ta 0.000 0.000 0.718 1
Ta4 Ta 0.500 0.500 0.218 1
Ta5 Ta 0.500 0.500 0.500 1
Ta6 Ta 0.500 0.500 0.782 1
Ga1 Ga 0.000 0.000 0.144 1
Ga2 Ga 0.000 0.000 0.421 1
Ga3 Ga 0.000 0.000 0.579 1
Ga4 Ga 0.000 0.000 0.856 1
Ga5 Ga 0.500 0.500 0.079 1
Ga6 Ga 0.500 0.500 0.356 1
Ga7 Ga 0.500 0.500 0.644 1
Ga8 Ga 0.500 0.500 0.921 1
```